Record 1
Theoretical X-ray powder pattern of LiFeSiO4 for Cu Kα (weighted mean of Kα1 and Kα2), from a crystal structure in Alexandria, relaxed with PBE+U.
Peak positions follow from Bragg's law for the DFT cell and can differ from measured ones.

Most intense lines, 2θ from 5° to 70°, sorted by position:
2θ/deg  I/Imax
15.79  79
23.67  100
29.34  37
29.69  32
33.49  51
35.47  31
42.23  23
47.60  20
57.84  24
68.33  20

Cell and atoms:
```
LiFeSiO4
1.0
11.226 0.000 0.000
0.000 5.061 0.000
0.000 0.000 6.089
Li Fe Si O
4 4 4 16
Direct
0.080 0.171 0.000 Li
0.420 0.671 0.500 Li
0.580 0.329 0.000 Li
0.920 0.829 0.500 Li
0.169 0.670 0.748 Fe
0.331 0.170 0.248 Fe
0.669 0.830 0.748 Fe
0.831 0.330 0.248 Fe
0.167 0.667 0.251 Si
0.333 0.167 0.751 Si
0.667 0.833 0.251 Si
0.833 0.333 0.751 Si
0.088 0.734 0.475 O
0.103 0.781 0.025 O
0.181 0.344 0.231 O
0.199 0.301 0.772 O
0.301 0.801 0.272 O
0.319 0.844 0.731 O
0.397 0.281 0.525 O
0.412 0.234 0.975 O
0.588 0.766 0.475 O
0.603 0.719 0.025 O
0.681 0.156 0.231 O
0.699 0.199 0.772 O
0.801 0.699 0.272 O
0.819 0.656 0.731 O
0.897 0.219 0.525 O
0.912 0.266 0.975 O
```



Record 2
Theoretical X-ray powder pattern of LiFeSiO4 for Cu Kα (weighted mean of Kα1 and Kα2), from a crystal structure in Alexandria, relaxed with PBE+U.
Peak positions follow from Bragg's law for the DFT cell and can differ from measured ones.

Most intense lines, 2θ from 5° to 70°, sorted by position:
2θ/deg  I/Imax
18.88  100
19.67  75
21.85  100
34.42  45
34.86  41
35.76  18
41.14  21
52.74  22
54.69  16
61.66  20

Cell and atoms:
```
LiFeSiO4
1.0
5.211 0.000 0.000
-2.605 4.512 0.000
0.000 0.000 9.401
Li Fe Si O
2 2 2 8
Direct
0.000 0.000 0.000 Li
0.000 0.000 0.500 Li
0.333 0.667 0.405 Fe
0.667 0.333 0.905 Fe
0.333 0.667 0.037 Si
0.667 0.333 0.537 Si
0.028 0.375 0.978 O
0.333 0.667 0.209 O
0.347 0.972 0.978 O
0.375 0.347 0.478 O
0.625 0.653 0.978 O
0.653 0.028 0.478 O
0.667 0.333 0.709 O
0.972 0.625 0.478 O
```



Record 3
Theoretical X-ray powder pattern of LiFeSiO4 for Cu Kα (weighted mean of Kα1 and Kα2), from a crystal structure in Alexandria, relaxed with PBE+U.
Peak positions follow from Bragg's law for the DFT cell and can differ from measured ones.

Most intense lines, 2θ from 5° to 70°, sorted by position:
2θ/deg  I/Imax
20.20  34
21.65  100
22.12  31
25.59  96
27.20  27
31.18  93
34.08  73
38.56  37
48.76  43
65.55  51

Cell and atoms:
```
LiFeSiO4
1.0
6.961 4.019 3.148
-6.961 4.019 3.148
0.000 -8.038 3.148
Li Fe Si O
6 6 6 24
Direct
0.039 0.270 0.448 Li
0.270 0.448 0.039 Li
0.448 0.039 0.270 Li
0.552 0.961 0.730 Li
0.730 0.552 0.961 Li
0.961 0.730 0.552 Li
0.082 0.892 0.299 Fe
0.108 0.701 0.918 Fe
0.299 0.082 0.892 Fe
0.701 0.918 0.108 Fe
0.892 0.299 0.082 Fe
0.918 0.108 0.701 Fe
0.236 0.631 0.404 Si
0.369 0.596 0.764 Si
0.404 0.236 0.631 Si
0.596 0.764 0.369 Si
0.631 0.404 0.236 Si
0.764 0.369 0.596 Si
0.126 0.752 0.431 O
0.139 0.841 0.793 O
0.143 0.474 0.200 O
0.159 0.207 0.861 O
0.200 0.143 0.474 O
0.207 0.861 0.159 O
0.240 0.537 0.549 O
0.248 0.569 0.874 O
0.431 0.126 0.752 O
0.451 0.760 0.463 O
0.463 0.451 0.760 O
0.474 0.200 0.143 O
0.526 0.800 0.857 O
0.537 0.549 0.240 O
0.549 0.240 0.537 O
0.569 0.874 0.248 O
0.752 0.431 0.126 O
0.760 0.463 0.451 O
0.793 0.139 0.841 O
0.800 0.857 0.526 O
0.841 0.793 0.139 O
0.857 0.526 0.800 O
0.861 0.159 0.207 O
0.874 0.248 0.569 O
```